Starting from a DFT-relaxed cell (PBE+U, the Materials Project), the powder X-ray diffraction pattern of Mn3Fe3Co2O16 was simulated for Cu Kα (λ = 1.5418 Å).
Intensities are scaled so that the largest is 100.

a = 5.897 Å, b = 5.897 Å, c = 8.676 Å
α = 91.09°, β = 91.09°, γ = 59.57°
Fractional coordinates of all 24 atoms:
Mn 0.000 0.000 0.000
Mn 0.169 0.662 0.503
Mn 0.662 0.169 0.503
Fe 0.498 0.998 0.997
Fe 0.664 0.664 0.499
Fe 0.998 0.498 0.997
Co 0.163 0.163 0.281
Co 0.497 0.497 0.780
O 0.005 0.483 0.392
O 0.159 0.159 0.886
O 0.177 0.661 0.891
O 0.297 0.878 0.138
O 0.303 0.303 0.141
O 0.349 0.782 0.638
O 0.353 0.353 0.632
O 0.483 0.005 0.392
O 0.491 0.491 0.390
O 0.656 0.656 0.892
O 0.661 0.177 0.891
O 0.782 0.349 0.638
O 0.835 0.835 0.606
O 0.836 0.836 0.103
O 0.878 0.297 0.138
O 0.999 0.999 0.394

Most intense lines, 2θ from 5° to 70°, sorted by position:
two_theta, Rel. int.
19.95, 34
20.15, 72
20.34, 100
20.48, 92
27.19, 31
36.73, 32
36.99, 61
41.36, 36
47.94, 48
63.08, 48